Starting from a DFT-relaxed cell (PBE, Alexandria), the XRD peak list of BaCd10Sn was simulated for Cu Ka.

Structure:
Cell: 4.963 6.098 10.426 Å, 90.00 90.00 90.00°
Atoms (fractional coordinates):
Ba (0.000, 0.000, 0.000)
Cd (0.000, 0.000, 0.349)
Cd (0.000, 0.000, 0.651)
Cd (0.000, 0.500, 0.195)
Cd (0.000, 0.500, 0.805)
Cd (0.500, 0.000, 0.500)
Cd (0.500, 0.242, 0.242)
Cd (0.500, 0.242, 0.758)
Cd (0.500, 0.500, 0.000)
Cd (0.500, 0.758, 0.242)
Cd (0.500, 0.758, 0.758)
Sn (0.000, 0.500, 0.500)

Peak list (8 most intense, 15 to 90 degrees two-theta, sorted by position)
- 2θ = 24.65°, intensity 22
- 2θ = 34.06°, intensity 30
- 2θ = 34.41°, intensity 20
- 2θ = 34.52°, intensity 55
- 2θ = 34.78°, intensity 100
- 2θ = 36.20°, intensity 54
- 2θ = 38.73°, intensity 42
- 2θ = 55.55°, intensity 24

=====

Starting from a DFT-relaxed cell (PBE, Alexandria), the XRD peak list of Ba2Cd3Sn6 was simulated for Cu Ka.

Structure:
Cell: 8.663 8.663 5.388 Å, 90.00 90.00 120.00°
Atoms (fractional coordinates):
Ba (0.333, 0.667, 0.000)
Ba (0.667, 0.333, 0.000)
Cd (0.000, 0.631, 0.500)
Cd (0.369, 0.369, 0.500)
Cd (0.631, 0.000, 0.500)
Sn (0.000, 0.302, 0.500)
Sn (0.000, 0.799, 0.000)
Sn (0.201, 0.201, 0.000)
Sn (0.302, 0.000, 0.500)
Sn (0.698, 0.698, 0.500)
Sn (0.799, 0.000, 0.000)

Peak list (8 most intense, 15 to 90 degrees two-theta, sorted by position)
- 2θ = 26.40°, intensity 100
- 2θ = 31.55°, intensity 18
- 2θ = 33.26°, intensity 45
- 2θ = 35.78°, intensity 72
- 2θ = 35.91°, intensity 40
- 2θ = 39.74°, intensity 17
- 2θ = 49.75°, intensity 31
- 2θ = 58.97°, intensity 30

=====

Starting from a DFT-relaxed cell (PBE, Alexandria), the XRD peak list of Ba2CdSn2 was simulated for Cu Ka.

Structure:
Cell: 6.710 6.710 12.473 Å, 116.57 116.57 46.63°
Atoms (fractional coordinates):
Ba (0.015, 0.015, 0.332)
Ba (0.185, 0.185, 0.105)
Ba (0.815, 0.815, 0.895)
Ba (0.985, 0.985, 0.668)
Cd (0.278, 0.278, 0.649)
Cd (0.722, 0.722, 0.351)
Sn (0.361, 0.361, 0.446)
Sn (0.484, 0.484, 0.113)
Sn (0.516, 0.516, 0.887)
Sn (0.639, 0.639, 0.554)

Peak list (8 most intense, 15 to 90 degrees two-theta, sorted by position)
- 2θ = 27.45°, intensity 100
- 2θ = 27.75°, intensity 50
- 2θ = 28.98°, intensity 22
- 2θ = 30.20°, intensity 35
- 2θ = 33.53°, intensity 19
- 2θ = 33.75°, intensity 52
- 2θ = 34.32°, intensity 68
- 2θ = 55.09°, intensity 19

=====

Starting from a DFT-relaxed cell (PBE, Alexandria), the XRD peak list of Ba2Cd15Sn2 was simulated for Cu Ka.

Structure:
Cell: 7.898 7.898 7.898 Å, 84.49 84.49 84.49°
Atoms (fractional coordinates):
Ba (0.166, 0.166, 0.166)
Ba (0.834, 0.834, 0.834)
Cd (0.000, 0.500, 0.500)
Cd (0.148, 0.148, 0.668)
Cd (0.148, 0.668, 0.148)
Cd (0.194, 0.500, 0.806)
Cd (0.194, 0.806, 0.500)
Cd (0.332, 0.852, 0.852)
Cd (0.500, 0.000, 0.500)
Cd (0.500, 0.194, 0.806)
Cd (0.500, 0.500, 0.000)
Cd (0.500, 0.806, 0.194)
Cd (0.668, 0.148, 0.148)
Cd (0.806, 0.194, 0.500)
Cd (0.806, 0.500, 0.194)
Cd (0.852, 0.332, 0.852)
Cd (0.852, 0.852, 0.332)
Sn (0.400, 0.400, 0.400)
Sn (0.600, 0.600, 0.600)

Peak list (8 most intense, 15 to 90 degrees two-theta, sorted by position)
- 2θ = 29.13°, intensity 36
- 2θ = 33.76°, intensity 57
- 2θ = 34.35°, intensity 100
- 2θ = 36.08°, intensity 32
- 2θ = 38.43°, intensity 69
- 2θ = 55.07°, intensity 19
- 2θ = 60.39°, intensity 27
- 2θ = 63.77°, intensity 23

=====

Starting from a DFT-relaxed cell (PBE, Alexandria), the XRD peak list of Ba4Cd3Sn was simulated for Cu Ka.

Structure:
Cell: 10.463 10.463 10.463 Å, 33.38 33.38 33.38°
Atoms (fractional coordinates):
Ba (0.123, 0.123, 0.123)
Ba (0.374, 0.374, 0.374)
Ba (0.626, 0.626, 0.626)
Ba (0.877, 0.877, 0.877)
Cd (0.248, 0.248, 0.248)
Cd (0.500, 0.500, 0.500)
Cd (0.752, 0.752, 0.752)
Sn (0.000, 0.000, 0.000)

Peak list (8 most intense, 15 to 90 degrees two-theta, sorted by position)
- 2θ = 29.62°, intensity 100
- 2θ = 29.73°, intensity 100
- 2θ = 42.46°, intensity 37
- 2θ = 52.48°, intensity 19
- 2θ = 52.72°, intensity 59
- 2θ = 69.77°, intensity 16
- 2θ = 69.95°, intensity 17
- 2θ = 85.46°, intensity 20

=====

Starting from a DFT-relaxed cell (PBE, Alexandria), the XRD peak list of BaCd4Sn2 was simulated for Cu Ka.

Structure:
Cell: 4.895 17.005 4.721 Å, 90.00 90.00 90.00°
Atoms (fractional coordinates):
Ba (0.000, 0.000, 0.000)
Ba (0.500, 0.500, 0.000)
Cd (0.000, 0.187, 0.500)
Cd (0.000, 0.304, 0.000)
Cd (0.000, 0.696, 0.000)
Cd (0.000, 0.813, 0.500)
Cd (0.500, 0.196, 0.000)
Cd (0.500, 0.313, 0.500)
Cd (0.500, 0.687, 0.500)
Cd (0.500, 0.804, 0.000)
Sn (0.000, 0.412, 0.500)
Sn (0.000, 0.588, 0.500)
Sn (0.500, 0.088, 0.500)
Sn (0.500, 0.912, 0.500)

Peak list (8 most intense, 15 to 90 degrees two-theta, sorted by position)
- 2θ = 26.75°, intensity 15
- 2θ = 28.25°, intensity 25
- 2θ = 30.67°, intensity 100
- 2θ = 32.04°, intensity 19
- 2θ = 36.72°, intensity 40
- 2θ = 37.41°, intensity 61
- 2θ = 38.12°, intensity 36
- 2θ = 53.95°, intensity 34

=====

Question: Which formula does entry 3 have?
Answer: Ba2CdSn2